1.
Structure and theoretical PXRD pattern of YRe3S (DFT lattice parameters and positions (PBE); Cu Kα).
Lines closer than 0.1° are merged.

Largest 10 diffraction maxima, low angle first, 10° ≤ 2θ ≤ 80°:
d_spacing	2theta	I_rel	(hkl)
4.458	19.92	13	1 0 0
3.152	28.31	2	1 1 0
2.574	34.86	100	1 1 1
2.229	40.47	61	2 0 0
1.994	45.49	6	2 1 0
1.576	58.56	41	2 2 0
1.486	62.50	3	3 0 0
1.344	69.99	40	3 1 1
1.287	73.60	14	2 2 2
1.236	77.14	1	3 2 0

Structure:
abc: 4.4583 4.4583 4.4583
angles: 90.00 90.00 90.00
Space group Pm-3m (No. 221)
One atom of each set of equivalent atoms:
Y 0.0000 0.0000 0.0000
Re 0.0000 0.5000 0.5000
S 0.5000 0.5000 0.5000

=====

2.
Structure and theoretical PXRD pattern of SrCoP (DFT lattice parameters and positions (PBE); Cu Kα).
Lines closer than 0.1° are merged.

Largest 10 diffraction maxima, low angle first, 10° ≤ 2θ ≤ 80°:
d_spacing	2theta	I_rel	(hkl)
3.516	25.33	62	1 0 1
3.007	29.72	31	0 0 3
2.914	30.68	64	1 0 2
2.587	34.68	32	1 1 1
2.362	38.10	33	1 0 3
2.317	38.87	100	1 1 2
1.942	46.79	22	1 0 4
1.909	47.63	47	2 0 0
1.597	57.72	20	2 1 2
1.500	61.86	36	1 1 5

Structure:
abc: 3.8187 3.8187 9.0195
angles: 90.00 90.00 90.00
Space group P4/nmm (No. 129, origin choice 2)
One atom of each set of equivalent atoms:
Sr 0.2500 0.2500 0.2041
Co 0.2500 0.7500 0.5000
P 0.2500 0.2500 0.6293

=====

Number 1 is which compound?
YRe3S

=====

Repeat the second record exactly.
Structure and theoretical PXRD pattern of SrCoP (DFT lattice parameters and positions (PBE); Cu Kα).
Lines closer than 0.1° are merged.

Largest 10 diffraction maxima, low angle first, 10° ≤ 2θ ≤ 80°:
d_spacing	2theta	I_rel	(hkl)
3.516	25.33	62	1 0 1
3.007	29.72	31	0 0 3
2.914	30.68	64	1 0 2
2.587	34.68	32	1 1 1
2.362	38.10	33	1 0 3
2.317	38.87	100	1 1 2
1.942	46.79	22	1 0 4
1.909	47.63	47	2 0 0
1.597	57.72	20	2 1 2
1.500	61.86	36	1 1 5

Structure:
abc: 3.8187 3.8187 9.0195
angles: 90.00 90.00 90.00
Space group P4/nmm (No. 129, origin choice 2)
One atom of each set of equivalent atoms:
Sr 0.2500 0.2500 0.2041
Co 0.2500 0.7500 0.5000
P 0.2500 0.2500 0.6293